Entry 1:
Be3Ru2: computed powder diffraction line list (Cu Kα (weighted mean of Kα1 and Kα2)), based on a crystal structure in the Materials Project, relaxed with PBE.
Kinematic intensities with the Lorentz-polarization factor, no thermal factor.

Most intense lines, 2θ = 10–90°, in order of falling intensity:
2θ/deg  I/Imax
42.0  100
22.6  85
46.2  54
34.9  52
18.4  35
73.6  28
37.4  23
52.0  22
59.2  20
44.1  19
70.6  15
72.1  13

Structural model:
a b c (Å): 9.625 9.625 9.625
angles (deg): 90.00 90.00 90.00
Space group Ia-3 (No. 206)
Inequivalent atoms, fractional coordinates:
Be1 0.039 0.149 0.597
Ru1 0.000 0.250 0.368
Ru2 0.250 0.250 0.250

***

Entry 2:
CaHo2Te4: computed powder diffraction line list (Cu Kα (weighted mean of Kα1 and Kα2)), based on a crystal structure in the Materials Project, relaxed with PBE.
Kinematic intensities with the Lorentz-polarization factor, no thermal factor.

Most intense lines, 2θ = 10–90°, in order of falling intensity:
2θ/deg  I/Imax
28.4  100
28.9  48
12.0  47
40.5  38
41.5  36
50.9  20
40.1  19
41.0  19
23.7  14
58.7  12
51.1  12
49.3  11

Structural model:
a b c (Å): 7.516 4.406 7.760
angles (deg): 90.00 107.83 90.00
Space group P2/m (No. 10)
Inequivalent atoms, fractional coordinates:
Ca1 0.000 0.000 0.000
Ho1 0.000 0.500 0.500
Ho2 0.500 0.000 0.500
Te1 0.246 0.000 0.737
Te2 0.260 0.500 0.256

***

Entry 3:
GaSnSe2: computed powder diffraction line list (Cu Kα (weighted mean of Kα1 and Kα2)), based on a crystal structure in the Materials Project, relaxed with PBE.
Kinematic intensities with the Lorentz-polarization factor, no thermal factor.

Most intense lines, 2θ = 10–90°, in order of falling intensity:
2θ/deg  I/Imax
31.1  100
31.7  45
38.6  36
46.4  27
25.1  22
39.4  22
50.8  21
57.3  18
30.1  16
62.5  13
46.7  12
30.8  11

Structural model:
a b c (Å): 3.914 4.572 11.297
angles (deg): 90.00 90.00 90.00
Space group Pmc2_1 (No. 26)
Inequivalent atoms, fractional coordinates:
Ga1 0.000 0.122 0.000
Sn1 0.500 0.342 0.770
Se1 0.000 0.237 0.221
Se2 0.500 0.243 0.516

***

Entry 4:
DyAlO3: computed powder diffraction line list (Cu Kα (weighted mean of Kα1 and Kα2)), based on a crystal structure in the Materials Project, relaxed with PBE.
Kinematic intensities with the Lorentz-polarization factor, no thermal factor.

Most intense lines, 2θ = 10–90°, in order of falling intensity:
2θ/deg  I/Imax
34.2  100
24.0  55
42.2  42
61.2  39
49.1  33
55.4  25
72.0  20
82.1  17
87.1  14
77.1  12

Structural model:
a b c (Å): 3.711 3.711 3.711
angles (deg): 90.00 90.00 90.00
Space group Pm-3m (No. 221)
Inequivalent atoms, fractional coordinates:
Dy1 0.000 0.000 0.000
Al1 0.500 0.500 0.500
O1 0.000 0.500 0.500

***

Entry 5:
SrLa7Ti4Cu4O22: computed powder diffraction line list (Cu Kα (weighted mean of Kα1 and Kα2)), based on a crystal structure in the Materials Project, relaxed with PBE.
Kinematic intensities with the Lorentz-polarization factor, no thermal factor.

Most intense lines, 2θ = 10–90°, in order of falling intensity:
2θ/deg  I/Imax
31.9  100
56.9  25
45.5  20
31.5  17
66.8  13
22.3  11
56.4  11
46.1  11
57.2  8
39.5  8
76.4  7
52.4  6

Structural model:
a b c (Å): 5.602 15.756 5.672
angles (deg): 90.00 90.09 90.00
Space group Pm (No. 6)
Inequivalent atoms, fractional coordinates:
Sr1 0.000 0.000 0.000
La1 0.015 0.500 0.981
La2 0.484 0.500 0.489
La3 0.486 0.000 0.483
La4 0.510 0.246 0.570
La5 0.987 0.249 0.072
Ti1 0.010 0.123 0.532
Ti2 0.497 0.376 0.031
Cu1 0.500 0.125 0.030
Cu2 0.998 0.375 0.529
O1 0.093 0.243 0.504
O2 0.218 0.405 0.238
O3 0.221 0.098 0.260
O4 0.287 0.099 0.736
O5 0.288 0.406 0.753
O6 0.401 0.259 0.003
O7 0.590 0.500 0.052
O8 0.691 0.356 0.317
O9 0.728 0.143 0.321
O10 0.774 0.357 0.828
O11 0.799 0.147 0.810
O12 0.913 0.000 0.545

***

Entry 6:
MgZn2H12Br6O6: computed powder diffraction line list (Cu Kα (weighted mean of Kα1 and Kα2)), based on a crystal structure in the Materials Project, relaxed with PBE.
Kinematic intensities with the Lorentz-polarization factor, no thermal factor.

Most intense lines, 2θ = 10–90°, in order of falling intensity:
2θ/deg  I/Imax
27.3  100
13.7  62
42.6  50
21.9  40
27.1  39
24.0  38
11.9  33
32.5  32
21.4  31
32.8  27
21.7  24
44.1  23

Structural model:
a b c (Å): 8.292 10.370 10.603
angles (deg): 90.00 90.00 90.00
Space group Immm (No. 71)
Inequivalent atoms, fractional coordinates:
Mg1 0.000 0.000 0.000
Zn1 0.000 0.500 0.158
H1 0.000 0.077 0.250
H2 0.237 0.176 0.074
Br1 0.000 0.309 0.287
Br2 0.223 0.500 0.000
O1 0.000 0.000 0.196
O2 0.176 0.147 0.000

***

Entry 7:
Rb2NaNdF6: computed powder diffraction line list (Cu Kα (weighted mean of Kα1 and Kα2)), based on a crystal structure in the Materials Project, relaxed with PBE.
Kinematic intensities with the Lorentz-polarization factor, no thermal factor.

Most intense lines, 2θ = 10–90°, in order of falling intensity:
2θ/deg  I/Imax
27.4  100
39.2  44
48.5  42
16.7  35
56.6  28
77.7  22
32.3  20
64.0  19
42.8  9
71.0  9
51.6  8
59.4  8

Structural model:
a b c (Å): 9.200 9.200 9.200
angles (deg): 90.00 90.00 90.00
Space group Fm-3m (No. 225)
Inequivalent atoms, fractional coordinates:
Rb1 0.250 0.250 0.250
Na1 0.000 0.000 0.000
Nd1 0.000 0.000 0.500
F1 0.000 0.000 0.252

***

Entry 8:
Y3Os: computed powder diffraction line list (Cu Kα (weighted mean of Kα1 and Kα2)), based on a crystal structure in the Materials Project, relaxed with PBE.
Kinematic intensities with the Lorentz-polarization factor, no thermal factor.

Most intense lines, 2θ = 10–90°, in order of falling intensity:
2θ/deg  I/Imax
34.8  100
20.8  92
32.1  91
18.3  72
38.2  68
38.5  68
34.1  67
48.9  60
34.4  58
40.3  55
19.4  54
39.0  48

Structural model:
a b c (Å): 7.439 9.135 6.363
angles (deg): 90.00 90.00 90.00
Space group Pnma (No. 62)
Inequivalent atoms, fractional coordinates:
Y1 0.040 0.250 0.133
Y2 0.174 0.064 0.669
Os1 0.118 0.750 0.461

***

Entry 9:
MgSbRhO4: computed powder diffraction line list (Cu Kα (weighted mean of Kα1 and Kα2)), based on a crystal structure in the Materials Project, relaxed with PBE.
Kinematic intensities with the Lorentz-polarization factor, no thermal factor.

Most intense lines, 2θ = 10–90°, in order of falling intensity:
2θ/deg  I/Imax
33.1  100
27.3  82
19.8  66
32.9  54
34.8  40
52.0  39
49.9  33
57.8  28
44.7  26
43.9  21
16.8  21
51.9  21

Structural model:
a b c (Å): 5.553 3.155 5.553
angles (deg): 90.00 107.82 90.00
Space group Pm (No. 6)
Inequivalent atoms, fractional coordinates:
Mg1 0.000 0.000 0.000
Sb1 0.696 0.500 0.310
Rh1 0.308 0.000 0.695
O1 0.003 0.000 0.374
O2 0.132 0.500 0.867
O3 0.452 0.500 0.554
O4 0.627 0.000 0.002